# 1
For BaSrLaWO6, a structure optimized by DFT (PBE+U) gives the theoretical powder XRD pattern in this record (Cu Kα X-rays).
No peak broadening, texture or thermal motion is included.

Most intense lines, 2θ = 5–70°, sorted by position:
Position (°2θ)  d/Å  I_rel
29.18  3.060  100
29.42  3.036  67
29.59  3.019  33
41.81  2.161  17
42.03  2.150  34
51.76  1.766  34
51.87  1.763  15
52.12  1.755  13
52.53  1.742  14
60.51  1.530  14

Structure:
Lattice parameters (Å, degrees): 6.076 6.121 8.593 90.27 90.87 90.24
Space group P-1 (No. 2)
Asymmetric unit:
1 Ba 0.010 0.036 0.248 (multiplicity 2)
2 Sr 0.490 0.542 0.253 (multiplicity 2)
3 La 0.000 0.500 0.500 (multiplicity 1)
4 La 0.500 0.000 0.000 (multiplicity 1)
5 W 0.000 0.500 0.000 (multiplicity 1)
6 W 0.500 0.000 0.500 (multiplicity 1)
7 O 0.089 0.506 0.775 (multiplicity 2)
8 O 0.195 0.766 0.046 (multiplicity 2)
9 O 0.236 0.808 0.466 (multiplicity 2)
10 O 0.268 0.313 0.044 (multiplicity 2)
11 O 0.314 0.275 0.454 (multiplicity 2)
12 O 0.426 0.026 0.727 (multiplicity 2)

# 2
For BaSrLaWO6, a structure optimized by DFT (PBE+U) gives the theoretical powder XRD pattern in this record (Cu Kα X-rays).
No peak broadening, texture or thermal motion is included.

Most intense lines, 2θ = 5–70°, sorted by position:
Position (°2θ)  d/Å  I_rel
17.67  5.019  4
20.43  4.346  8
29.06  3.073  100
34.21  2.621  2
41.56  2.173  29
46.74  1.944  3
51.51  1.774  41
60.23  1.537  19
64.30  1.449  2
68.24  1.374  19

Structure:
Lattice parameters (Å, degrees): 8.692 8.692 8.692 90.00 90.00 90.00
Space group F-43m (No. 216)
Asymmetric unit:
1 Ba 0.000 0.000 0.000 (multiplicity 4)
2 Sr 0.000 0.000 0.500 (multiplicity 4)
3 La 0.250 0.250 0.750 (multiplicity 4)
4 W 0.250 0.250 0.250 (multiplicity 4)
5 O 0.020 0.250 0.250 (multiplicity 24)